For LiCuNi, a cell relaxed with PBE gives the computed XRD peak list in this record (λ = 1.5418 Å (Cu Kα)).
Neutral-atom scattering factors, no anomalous dispersion.

Most intense lines, 10° ≤ 2θ ≤ 80°, by angle:
| d [Å] | Position (°2θ) | I/Imax |
| --- | --- | --- |
| 4.175 | 21.3 | 48 |
| 3.623 | 24.6 | 32 |
| 2.194 | 41.1 | 16 |
| 2.181 | 41.4 | 37 |
| 2.088 | 43.3 | 39 |
| 1.944 | 46.7 | 100 |
| 1.921 | 47.3 | 46 |
| 1.264 | 75.1 | 13 |

Structural model:
```
data_LiCuNi
_chemical_formula_sum 'Li2 Cu2 Ni2'
_cell_length_a 4.3628
_cell_length_b 4.3628
_cell_length_c 4.9121
_cell_angle_alpha 117.09
_cell_angle_beta 117.09
_cell_angle_gamma 60.39
_space_group_name_H-M_alt 'P 1'
_space_group_IT_number 1
_space_group_name_Hall 'P 1'
loop_
_atom_site_label
_atom_site_type_symbol
_atom_site_fract_x
_atom_site_fract_y
_atom_site_fract_z
_atom_site_occupancy
Li1 Li 0.1648 0.1648 0.4978 1
Li2 Li 0.8352 0.8352 0.5022 1
Cu1 Cu 0.3282 0.6718 0.0000 1
Cu2 Cu 0.5029 0.4971 0.5000 1
Ni1 Ni 0.6534 0.0080 0.9995 1
Ni2 Ni 0.9920 0.3466 0.0005 1
```